PbBr2O6: calculated powder XRD pattern (a wavelength of 1.5418 Å), based on a cell relaxed with PBE.

Peak list (8 most intense, 10° ≤ 2θ ≤ 80°, in order of rising 2θ)
- 2θ = 10.7°, d = 8.260 Å, I = 29, (2 0 0)
- 2θ = 26.5°, d = 3.358 Å, I = 100, (3 1 1)
- 2θ = 28.3°, d = 3.157 Å, I = 19, (0 0 2)
- 2θ = 31.3°, d = 2.858 Å, I = 13, (0 2 0)
- 2θ = 34.4°, d = 2.605 Å, I = 15, (5 1 1)
- 2θ = 42.7°, d = 2.119 Å, I = 13, (0 2 2)
- 2θ = 49.0°, d = 1.859 Å, I = 16, (3 1 3)
- 2θ = 52.9°, d = 1.731 Å, I = 13, (3 3 1)

Structure:
Cell: 16.520 5.715 6.314 Å, 90.00 90.00 90.00°
Space group Pbcn (No. 60)
Symmetry-distinct sites (fractional):
Pb 0.000 0.241 0.250
Br 0.154 0.238 0.717
O 0.069 0.106 0.604
O 0.110 0.400 0.913
O 0.205 0.022 0.832



Na4Al3Si3BH4O12: calculated powder XRD pattern (a wavelength of 1.5418 Å), based on a cell relaxed with PBE.

Peak list (8 most intense, 10° ≤ 2θ ≤ 80°, in order of rising 2θ)
- 2θ = 13.9°, d = 6.355 Å, I = 82, (1 1 0)
- 2θ = 24.3°, d = 3.669 Å, I = 100, (2 1 1)
- 2θ = 31.5°, d = 2.842 Å, I = 26, (3 1 0)
- 2θ = 34.6°, d = 2.594 Å, I = 34, (2 2 2)
- 2θ = 37.4°, d = 2.402 Å, I = 15, (3 2 1)
- 2θ = 42.7°, d = 2.118 Å, I = 42, (3 3 0)
- 2θ = 58.1°, d = 1.589 Å, I = 14, (4 4 0)
- 2θ = 60.0°, d = 1.541 Å, I = 14, (5 3 0)

Structure:
Cell: 8.987 8.987 8.987 Å, 90.00 90.00 90.00°
Space group P-43n (No. 218)
Symmetry-distinct sites (fractional):
Na 0.179 0.179 0.179
Al 0.000 0.250 0.500
Si 0.000 0.500 0.250
B 0.000 0.000 0.000
H 0.079 0.079 0.921
O 0.062 0.360 0.650



Sr4IrO6: calculated powder XRD pattern (a wavelength of 1.5418 Å), based on a cell relaxed with PBE.

Peak list (8 most intense, 10° ≤ 2θ ≤ 80°, in order of rising 2θ)
- 2θ = 18.0°, d = 4.927 Å, I = 43, (1 1 0)
- 2θ = 18.1°, d = 4.897 Å, I = 36, (0 1 2)
- 2θ = 28.8°, d = 3.099 Å, I = 39, (1 1 3)
- 2θ = 31.5°, d = 2.844 Å, I = 100, (3 0 0)
- 2θ = 36.7°, d = 2.448 Å, I = 32, (0 2 4)
- 2θ = 41.2°, d = 2.193 Å, I = 41, (2 1 4)
- 2θ = 43.2°, d = 2.096 Å, I = 25, (2 2 3)
- 2θ = 56.2°, d = 1.638 Å, I = 26, (3 2 4)

Structure:
Cell: 9.8542 9.8542 11.9586 Å, 90.00 90.00 120.00°
Space group R-3c (No. 167, hexagonal axes)
Symmetry-distinct sites (fractional):
Sr 0.0000 0.0000 0.2500
Sr 0.0000 0.3658 0.2500
Ir 0.0000 0.0000 0.0000
O 0.0274 0.1850 0.4004



KTaO3: calculated powder XRD pattern (a wavelength of 1.5418 Å), based on a cell relaxed with PBE.

Peak list (8 most intense, 10° ≤ 2θ ≤ 80°, in order of rising 2θ)
- 2θ = 22.1°, d = 4.031 Å, I = 70, (1 0 0)
- 2θ = 31.4°, d = 2.850 Å, I = 100, (1 1 0)
- 2θ = 45.0°, d = 2.015 Å, I = 32, (2 0 0)
- 2θ = 50.6°, d = 1.803 Å, I = 31, (2 1 0)
- 2θ = 55.9°, d = 1.646 Å, I = 40, (2 1 1)
- 2θ = 65.5°, d = 1.425 Å, I = 19, (2 2 0)
- 2θ = 70.0°, d = 1.344 Å, I = 15, (3 0 0)
- 2θ = 74.4°, d = 1.275 Å, I = 17, (3 1 0)

Structure:
Cell: 4.031 4.031 4.031 Å, 90.00 90.00 90.00°
Space group Pm-3m (No. 221)
Symmetry-distinct sites (fractional):
K 0.000 0.000 0.000
Ta 0.500 0.500 0.500
O 0.000 0.500 0.500